Record 1
# FeCu2Ni
Theoretical X-ray diffraction stick pattern, Cu Kα, 1.54184 Å. Input: DFT lattice parameters and positions (PBE).

Structure:
a = 2.533 Å, b = 3.587 Å, c = 5.129 Å
α = 90.00°, β = 90.38°, γ = 90.00°
Sites, in units of the cell vectors:
Fe (0.000, 0.000, 0.000)
Cu (0.499, 0.500, 0.736)
Cu (0.999, 0.000, 0.491)
Ni (0.501, 0.500, 0.232)

Top 9 peaks for 2θ from 10° to 80°, low angle first:
2θ = 30.41°, rel. 1
2θ = 43.37°, rel. 100
2θ = 43.75°, rel. 98
2θ = 50.47°, rel. 31
2θ = 50.88°, rel. 61
2θ = 73.91°, rel. 9
2θ = 74.52°, rel. 18
2θ = 74.81°, rel. 17
2θ = 74.99°, rel. 9

***

Record 2
# Fe4CuNi8
Theoretical X-ray diffraction stick pattern, Cu Kα, 1.54184 Å. Input: DFT lattice parameters and positions (PBE).

Structure:
a = 2.493 Å, b = 4.068 Å, c = 14.831 Å
α = 90.00°, β = 90.00°, γ = 90.00°
Sites, in units of the cell vectors:
Fe (0.000, 0.000, 0.000)
Fe (0.000, 0.500, 0.170)
Fe (0.500, 0.000, 0.421)
Fe (0.500, 0.500, 0.632)
Cu (0.000, 0.000, 0.717)
Ni (0.000, 0.000, 0.277)
Ni (0.000, 0.000, 0.562)
Ni (0.000, 0.500, 0.473)
Ni (0.000, 0.500, 0.809)
Ni (0.500, 0.000, 0.136)
Ni (0.500, 0.000, 0.860)
Ni (0.500, 0.500, 0.321)
Ni (0.500, 0.500, 0.960)

Top 10 peaks for 2θ from 10° to 80°, low angle first:
2θ = 36.35°, rel. 10
2θ = 42.67°, rel. 9
2θ = 42.81°, rel. 25
2θ = 43.75°, rel. 23
2θ = 44.55°, rel. 51
2θ = 46.50°, rel. 100
2θ = 48.44°, rel. 36
2θ = 49.42°, rel. 16
2θ = 64.22°, rel. 13
2θ = 76.40°, rel. 9

***

Record 3
# FeCu2Ni
Theoretical X-ray diffraction stick pattern, Cu Kα, 1.54184 Å. Input: DFT lattice parameters and positions (PBE).

Structure:
a = 2.471 Å, b = 4.235 Å, c = 4.490 Å
α = 90.00°, β = 95.73°, γ = 90.00°
Sites, in units of the cell vectors:
Fe (0.000, 0.000, 0.000)
Cu (0.260, 0.500, 0.748)
Cu (0.740, 0.500, 0.252)
Ni (0.500, 0.000, 0.500)

Top 7 peaks for 2θ from 10° to 80°, low angle first:
2θ = 20.98°, rel. 1
2θ = 42.70°, rel. 61
2θ = 43.76°, rel. 57
2θ = 45.64°, rel. 100
2θ = 45.93°, rel. 98
2θ = 62.80°, rel. 36
2θ = 70.60°, rel. 12

***

Record 4
# FeCuNi6
Theoretical X-ray diffraction stick pattern, Cu Kα, 1.54184 Å. Input: DFT lattice parameters and positions (PBE).

Structure:
a = 5.023 Å, b = 5.023 Å, c = 4.072 Å
α = 90.00°, β = 90.00°, γ = 120.00°
Sites, in units of the cell vectors:
Fe (0.000, 0.000, 0.000)
Cu (0.667, 0.333, 0.500)
Ni (0.002, 0.501, 0.000)
Ni (0.168, 0.336, 0.500)
Ni (0.168, 0.832, 0.500)
Ni (0.499, 0.501, 0.000)
Ni (0.499, 0.998, 0.000)
Ni (0.664, 0.832, 0.500)

Top 5 peaks for 2θ from 10° to 80°, low angle first:
2θ = 41.52°, rel. 25
2θ = 44.50°, rel. 27
2θ = 47.39°, rel. 100
2θ = 62.48°, rel. 14
2θ = 75.74°, rel. 15

***

Record 5
# FeCu2Ni12
Theoretical X-ray diffraction stick pattern, Cu Kα, 1.54184 Å. Input: DFT lattice parameters and positions (PBE).

Structure:
a = 4.593 Å, b = 4.593 Å, c = 16.844 Å
α = 90.00°, β = 90.00°, γ = 90.00°
Sites, in units of the cell vectors:
Fe (0.250, 0.750, 0.000)
Fe (0.750, 0.250, 0.000)
Cu (0.250, 0.750, 0.152)
Cu (0.250, 0.750, 0.848)
Cu (0.750, 0.250, 0.152)
Cu (0.750, 0.250, 0.848)
Ni (0.073, 0.573, 0.311)
Ni (0.073, 0.927, 0.689)
Ni (0.075, 0.575, 0.563)
Ni (0.075, 0.925, 0.437)
Ni (0.250, 0.250, 0.071)
Ni (0.250, 0.250, 0.210)
Ni (0.250, 0.250, 0.790)
Ni (0.250, 0.250, 0.929)
Ni (0.425, 0.575, 0.437)
Ni (0.425, 0.925, 0.563)
Ni (0.427, 0.573, 0.689)
Ni (0.427, 0.927, 0.311)
Ni (0.573, 0.073, 0.689)
Ni (0.573, 0.427, 0.311)
Ni (0.575, 0.075, 0.437)
Ni (0.575, 0.425, 0.563)
Ni (0.750, 0.750, 0.071)
Ni (0.750, 0.750, 0.210)
Ni (0.750, 0.750, 0.790)
Ni (0.750, 0.750, 0.929)
Ni (0.925, 0.075, 0.563)
Ni (0.925, 0.425, 0.437)
Ni (0.927, 0.073, 0.311)
Ni (0.927, 0.427, 0.689)

Top 10 peaks for 2θ from 10° to 80°, low angle first:
2θ = 39.60°, rel. 100
2θ = 42.55°, rel. 47
2θ = 42.96°, rel. 30
2θ = 47.00°, rel. 68
2θ = 47.11°, rel. 32
2θ = 49.36°, rel. 60
2θ = 52.15°, rel. 19
2θ = 55.29°, rel. 12
2θ = 56.68°, rel. 28
2θ = 73.39°, rel. 12